This entry pairs a crystal structure of Li2CoSiO4 with its calculated PXRD pattern. Radiation: Cu Kα (weighted mean of Kα1 and Kα2). Structure: a PBE+U-relaxed structure.
Peak positions follow from Bragg's law for the DFT cell and can differ from measured ones.

Top 10 peaks for 2θ from 10° to 90°, low angle first:
hkl 0 0 1, 13.95°, rel. 100; hkl 1 0 -1, 21.51°, rel. 38; hkl 0 1 1, 22.60°, rel. 32; hkl 1 1 1, 28.16°, rel. 61; hkl 1 0 2, 32.89°, rel. 28; hkl 2 0 0, 33.22°, rel. 34; hkl 0 2 0, 35.83°, rel. 49; hkl 1 1 -2, 37.32°, rel. 24; hkl 1 1 2, 37.59°, rel. 21; hkl 1 1 -3, 49.61°, rel. 23

Crystal structure
```
Li2CoSiO4
1.0
5.3941 0.0000 0.0000
0.0000 5.0129 0.0000
-0.0654 0.0000 6.3481
Li Co Si O
4 2 2 8
Direct
0.1570 0.0000 0.2687
0.3347 0.5010 0.5004
0.6653 0.0010 0.4996
0.8430 0.5000 0.7313
0.3185 0.5002 0.0066
0.6815 0.0002 0.9934
0.1750 0.0058 0.7430
0.8250 0.5058 0.2570
0.1159 0.3999 0.2489
0.1798 0.3360 0.7514
0.3160 0.8947 0.5366
0.3191 0.9027 0.9674
0.6809 0.4027 0.0326
0.6840 0.3947 0.4634
0.8202 0.8360 0.2486
0.8841 0.8999 0.7511
```